No. 1
Simulated PXRD pattern of ZnGeNO for Cu Kα (weighted mean of Kα1 and Kα2), from a cell relaxed with GGA-PBE.

Main lines, low angle first (10° ≤ 2θ ≤ 90°):
d_spacing  2θ/deg  I_rel
2.960  30.20  255
2.830  31.62  484
2.573  34.87  562
2.566  34.97  532
2.480  36.23  1000
1.904  47.78  220
1.683  54.54  338
1.467  63.41  291
1.408  66.38  284
1.365  68.79  263

Structural model:
Cell: 5.919 6.443 5.146 Å, 90.00 90.00 90.00°
Fractional coordinates of all 16 atoms:
Zn 0.069 0.134 0.000
Zn 0.431 0.134 0.500
Zn 0.569 0.866 0.000
Zn 0.931 0.866 0.500
Ge 0.097 0.640 0.009
Ge 0.403 0.640 0.509
Ge 0.597 0.360 0.009
Ge 0.903 0.360 0.509
N 0.073 0.596 0.633
N 0.427 0.596 0.133
N 0.573 0.404 0.633
N 0.927 0.404 0.133
O 0.105 0.123 0.607
O 0.395 0.123 0.107
O 0.605 0.877 0.607
O 0.895 0.877 0.107

No. 2
Simulated PXRD pattern of Sc4Ge3W2N3 for Cu Kα (weighted mean of Kα1 and Kα2), from a cell relaxed with GGA-PBE.

Main lines, low angle first (10° ≤ 2θ ≤ 90°):
d_spacing  2θ/deg  I_rel
4.733  18.75  455
4.624  19.20  301
2.747  32.59  212
2.329  38.66  1000
2.324  38.75  500
2.184  41.34  304
1.712  53.54  201
1.589  58.03  204
1.287  73.57  138
1.286  73.69  147

Structural model:
Cell: 5.494 5.494 13.487 Å, 101.82 101.82 60.21°
Fractional coordinates of all 24 atoms:
Sc 0.031 0.200 0.095
Sc 0.136 0.301 0.405
Sc 0.200 0.031 0.595
Sc 0.301 0.136 0.905
Sc 0.699 0.864 0.095
Sc 0.800 0.969 0.405
Sc 0.864 0.699 0.595
Sc 0.969 0.800 0.905
Ge 0.121 0.879 0.250
Ge 0.293 0.415 0.750
Ge 0.415 0.293 0.250
Ge 0.585 0.707 0.750
Ge 0.707 0.585 0.250
Ge 0.879 0.121 0.750
W 0.363 0.529 0.084
W 0.471 0.637 0.416
W 0.529 0.363 0.584
W 0.637 0.471 0.916
N 0.000 0.500 0.000
N 0.161 0.669 0.500
N 0.331 0.839 0.000
N 0.500 0.000 0.500
N 0.669 0.161 0.000
N 0.839 0.331 0.500

No. 3
Simulated PXRD pattern of NaNbGeO5 for Cu Kα (weighted mean of Kα1 and Kα2), from a cell relaxed with GGA-PBE.

Main lines, low angle first (10° ≤ 2θ ≤ 90°):
d_spacing  2θ/deg  I_rel
5.043  17.59  581
4.956  17.90  377
3.519  25.31  227
3.432  25.96  1000
3.052  29.26  680
2.716  32.98  650
2.681  33.43  823
1.760  51.97  217
1.681  54.60  271
1.578  58.49  210

Structural model:
Cell: 6.719 8.947 7.523 Å, 90.00 114.69 90.00°
Fractional coordinates of all 32 atoms:
Na 0.241 0.083 0.205
Na 0.241 0.417 0.705
Na 0.759 0.583 0.295
Na 0.759 0.917 0.795
Nb 0.260 0.739 0.980
Nb 0.260 0.761 0.480
Nb 0.740 0.239 0.520
Nb 0.740 0.261 0.020
Ge 0.245 0.063 0.747
Ge 0.245 0.437 0.247
Ge 0.755 0.563 0.753
Ge 0.755 0.937 0.253
O 0.050 0.181 0.575
O 0.050 0.319 0.075
O 0.145 0.550 0.383
O 0.145 0.950 0.883
O 0.253 0.675 0.745
O 0.253 0.825 0.245
O 0.368 0.546 0.126
O 0.368 0.954 0.626
O 0.432 0.189 0.915
O 0.432 0.311 0.415
O 0.568 0.689 0.585
O 0.568 0.811 0.085
O 0.632 0.046 0.374
O 0.632 0.454 0.874
O 0.747 0.175 0.755
O 0.747 0.325 0.255
O 0.855 0.050 0.117
O 0.855 0.450 0.617
O 0.950 0.681 0.925
O 0.950 0.819 0.425

No. 4
Simulated PXRD pattern of Na2Nb2SiGeOs2 for Cu Kα (weighted mean of Kα1 and Kα2), from a cell relaxed with GGA-PBE.

Main lines, low angle first (10° ≤ 2θ ≤ 90°):
d_spacing  2θ/deg  I_rel
3.630  24.52  541
3.144  28.39  38
2.223  40.58  1000
1.896  47.98  276
1.572  58.73  167
1.443  64.61  116
1.406  66.50  16
1.284  73.83  335
1.210  79.14  89
1.112  87.82  109

Structural model:
Cell: 4.446 4.446 6.291 Å, 90.00 90.00 90.00°
Fractional coordinates of all 8 atoms:
Na 0.000 0.500 0.249
Na 0.500 0.000 0.751
Nb 0.000 0.000 0.000
Nb 0.500 0.500 0.500
Si 0.500 0.500 0.000
Ge 0.000 0.000 0.500
Os 0.000 0.500 0.754
Os 0.500 0.000 0.246

No. 5
Simulated PXRD pattern of Na2TaNbGe2Os2 for Cu Kα (weighted mean of Kα1 and Kα2), from a cell relaxed with GGA-PBE.

Main lines, low angle first (10° ≤ 2θ ≤ 90°):
d_spacing  2θ/deg  I_rel
6.319  14.02  21
4.468  19.87  18
3.648  24.40  411
2.234  40.38  1000
1.905  47.74  211
1.580  58.42  168
1.450  64.26  89
1.290  73.41  340
1.216  78.69  68
1.117  87.29  111

Structural model:
Cell: 4.468 4.468 6.319 Å, 90.00 90.00 90.00°
Fractional coordinates of all 8 atoms:
Na 0.000 0.500 0.249
Na 0.500 0.000 0.751
Ta 0.000 0.000 0.500
Nb 0.500 0.500 0.000
Ge 0.000 0.000 0.000
Ge 0.500 0.500 0.500
Os 0.000 0.500 0.748
Os 0.500 0.000 0.252

No. 6
Simulated PXRD pattern of Na4Zr2Ge3O12 for Cu Kα (weighted mean of Kα1 and Kα2), from a cell relaxed with GGA-PBE.

Main lines, low angle first (10° ≤ 2θ ≤ 90°):
d_spacing  2θ/deg  I_rel
4.743  18.71  179
4.604  19.28  496
3.995  22.25  911
3.304  26.99  325
3.075  29.03  313
2.920  30.61  1000
2.739  32.70  921
2.711  33.04  205
1.998  45.40  348
1.614  57.07  284

Structural model:
Cell: 9.216 9.216 9.216 Å, 61.95 61.95 61.95°
Fractional coordinates of all 42 atoms:
Na 0.000 0.000 0.000
Na 0.128 0.377 0.750
Na 0.250 0.872 0.623
Na 0.377 0.750 0.128
Na 0.500 0.500 0.500
Na 0.623 0.250 0.872
Na 0.750 0.128 0.377
Na 0.872 0.623 0.250
Zr 0.144 0.144 0.144
Zr 0.356 0.356 0.356
Zr 0.644 0.644 0.644
Zr 0.856 0.856 0.856
Ge 0.047 0.749 0.452
Ge 0.251 0.548 0.953
Ge 0.452 0.047 0.749
Ge 0.548 0.953 0.251
Ge 0.749 0.452 0.047
Ge 0.953 0.251 0.548
O 0.013 0.797 0.631
O 0.055 0.924 0.259
O 0.076 0.741 0.945
O 0.127 0.309 0.510
O 0.203 0.369 0.987
O 0.248 0.585 0.431
O 0.259 0.055 0.924
O 0.309 0.510 0.127
O 0.369 0.987 0.203
O 0.415 0.569 0.752
O 0.431 0.248 0.585
O 0.490 0.873 0.691
O 0.510 0.127 0.309
O 0.569 0.752 0.415
O 0.585 0.431 0.248
O 0.631 0.013 0.797
O 0.691 0.490 0.873
O 0.741 0.945 0.076
O 0.752 0.415 0.569
O 0.797 0.631 0.013
O 0.873 0.691 0.490
O 0.924 0.259 0.055
O 0.945 0.076 0.741
O 0.987 0.203 0.369

No. 7
Simulated PXRD pattern of Na4ZnGePt2 for Cu Kα (weighted mean of Kα1 and Kα2), from a cell relaxed with GGA-PBE.

Main lines, low angle first (10° ≤ 2θ ≤ 90°):
d_spacing  2θ/deg  I_rel
3.821  23.28  1000
3.324  26.82  163
2.350  38.30  462
2.334  38.57  883
2.002  45.30  355
1.982  45.77  158
1.662  55.27  158
1.515  61.16  136
1.354  69.42  304
1.345  69.96  137

Structural model:
Cell: 4.701 4.701 6.559 Å, 90.00 90.00 90.00°
Fractional coordinates of all 8 atoms:
Na 0.000 0.000 0.000
Na 0.000 0.500 0.743
Na 0.500 0.000 0.257
Na 0.500 0.500 0.500
Zn 0.000 0.000 0.500
Ge 0.500 0.500 0.000
Pt 0.000 0.500 0.234
Pt 0.500 0.000 0.766

No. 8
Simulated PXRD pattern of NaSm3GeS7 for Cu Kα (weighted mean of Kα1 and Kα2), from a cell relaxed with GGA-PBE.

Main lines, low angle first (10° ≤ 2θ ≤ 90°):
d_spacing  2θ/deg  I_rel
4.385  20.25  314
3.831  23.22  292
3.511  25.37  1000
3.315  26.90  227
2.533  35.44  558
2.434  36.93  659
2.246  40.14  303
2.194  41.13  342
1.915  47.48  204
1.820  50.13  255

Structural model:
Cell: 10.127 10.127 5.858 Å, 90.00 90.00 120.00°
Fractional coordinates of all 24 atoms:
Na 0.000 0.000 0.000
Na 0.000 0.000 0.500
Sm 0.131 0.361 0.278
Sm 0.230 0.869 0.278
Sm 0.361 0.230 0.778
Sm 0.639 0.770 0.278
Sm 0.770 0.131 0.778
Sm 0.869 0.639 0.778
Ge 0.333 0.667 0.861
Ge 0.667 0.333 0.361
S 0.097 0.261 0.747
S 0.103 0.584 0.020
S 0.164 0.903 0.747
S 0.261 0.164 0.247
S 0.333 0.667 0.484
S 0.416 0.519 0.020
S 0.481 0.897 0.020
S 0.519 0.103 0.520
S 0.584 0.481 0.520
S 0.667 0.333 0.984
S 0.739 0.836 0.747
S 0.836 0.097 0.247
S 0.897 0.416 0.520
S 0.903 0.739 0.247